The following is a theoretical X-ray powder pattern of Li2TiNi2O5. It was derived from DFT lattice parameters and positions (GGA+U), using Cu Ka.

Most intense lines, 2θ = 5–70°, in order of rising 2θ:
Position (°2θ)	I/Imax
15.28	47.7
22.50	71.3
24.07	36.8
26.57	30.6
37.46	94.8
42.86	100.0
43.54	92.2
44.17	90.5
63.24	52.2
63.76	50.0

Lattice parameters (Å, degrees): 7.836 7.836 5.931 101.73 101.73 30.34
Fractional positions:
Li (0.000, 0.000, 0.000)
Li (0.000, 0.000, 0.500)
Li (0.195, 0.195, 0.109)
Li (0.805, 0.805, 0.891)
Ti (0.396, 0.396, 0.188)
Ti (0.604, 0.604, 0.812)
Ni (0.200, 0.200, 0.600)
Ni (0.402, 0.402, 0.699)
Ni (0.598, 0.598, 0.301)
Ni (0.800, 0.800, 0.400)
O (0.101, 0.101, 0.800)
O (0.106, 0.106, 0.310)
O (0.306, 0.306, 0.387)
O (0.309, 0.309, 0.919)
O (0.500, 0.500, 0.000)
O (0.500, 0.500, 0.500)
O (0.691, 0.691, 0.081)
O (0.694, 0.694, 0.613)
O (0.894, 0.894, 0.690)
O (0.899, 0.899, 0.200)

=====

The following is a theoretical X-ray powder pattern of CsFeCuF6. It was derived from DFT lattice parameters and positions (GGA+U), using Cu Ka.

Most intense lines, 2θ = 5–70°, in order of rising 2θ:
Position (°2θ)	I/Imax
23.83	46.5
27.83	39.7
27.95	100.0
28.40	67.7
29.06	19.8
29.66	19.6
44.22	25.4
45.14	23.6
48.32	14.3
48.78	51.6

Lattice parameters (Å, degrees): 7.469 7.469 7.469 121.39 119.43 89.31
Fractional positions:
Cs (0.373, 0.123, 0.250)
Cs (0.627, 0.877, 0.750)
Fe (0.000, 0.500, 0.500)
Fe (0.500, 0.500, 0.000)
Cu (0.000, 0.000, 0.500)
Cu (0.000, 0.500, 0.000)
F (0.068, 0.818, 0.250)
F (0.071, 0.429, 0.258)
F (0.071, 0.813, 0.641)
F (0.315, 0.565, 0.750)
F (0.328, 0.187, 0.758)
F (0.328, 0.571, 0.141)
F (0.672, 0.429, 0.859)
F (0.672, 0.813, 0.242)
F (0.685, 0.435, 0.250)
F (0.929, 0.187, 0.359)
F (0.929, 0.571, 0.742)
F (0.932, 0.182, 0.750)

=====

The following is a theoretical X-ray powder pattern of La4TiMn5Pb2O18. It was derived from DFT lattice parameters and positions (GGA+U), using Cu Ka.

Most intense lines, 2θ = 5–70°, in order of rising 2θ:
Position (°2θ)	I/Imax
22.53	46.3
31.88	66.0
31.94	32.8
32.23	100.0
39.36	20.8
45.98	59.2
56.78	15.0
56.96	21.0
57.03	13.5
57.69	19.1

Lattice parameters (Å, degrees): 5.546 5.622 12.445 103.01 102.21 90.03
Fractional positions:
La (0.000, 0.000, 0.000)
La (0.166, 0.170, 0.331)
La (0.499, 0.503, 0.000)
La (0.832, 0.840, 0.670)
Ti (0.248, 0.754, 0.500)
Mn (0.082, 0.588, 0.166)
Mn (0.417, 0.920, 0.835)
Mn (0.583, 0.087, 0.167)
Mn (0.749, 0.254, 0.500)
Mn (0.917, 0.420, 0.833)
Pb (0.335, 0.339, 0.670)
Pb (0.664, 0.667, 0.330)
O (0.000, 0.560, 0.001)
O (0.031, 0.493, 0.516)
O (0.123, 0.703, 0.819)
O (0.171, 0.609, 0.336)
O (0.205, 0.205, 0.861)
O (0.292, 0.298, 0.145)
O (0.332, 0.880, 0.665)
O (0.358, 0.823, 0.178)
O (0.458, 0.020, 0.479)
O (0.498, 0.941, 0.998)
O (0.538, 0.546, 0.520)
O (0.639, 0.647, 0.821)
O (0.668, 0.217, 0.335)
O (0.706, 0.150, 0.855)
O (0.796, 0.348, 0.140)
O (0.830, 0.272, 0.665)
O (0.878, 0.882, 0.181)
O (0.974, 0.972, 0.485)

=====

The following is a theoretical X-ray powder pattern of Rb2CoS2O14. It was derived from DFT lattice parameters and positions (GGA+U), using Cu Ka.

Most intense lines, 2θ = 5–70°, in order of rising 2θ:
Position (°2θ)	I/Imax
20.23	26.0
20.67	85.4
22.16	88.0
23.84	100.0
26.62	24.6
28.58	17.7
29.13	53.7
31.24	21.1
31.78	29.6
38.03	30.9

Lattice parameters (Å, degrees): 6.380 12.407 8.908 90.00 103.18 90.00
Fractional positions:
Rb (0.156, 0.157, 0.364)
Rb (0.156, 0.343, 0.864)
Rb (0.844, 0.657, 0.136)
Rb (0.844, 0.843, 0.636)
Co (0.500, 0.000, 0.000)
Co (0.500, 0.500, 0.500)
S (0.249, 0.643, 0.903)
S (0.249, 0.857, 0.403)
S (0.751, 0.143, 0.597)
S (0.751, 0.357, 0.097)
O (0.099, 0.734, 0.908)
O (0.099, 0.766, 0.408)
O (0.139, 0.574, 0.769)
O (0.139, 0.926, 0.269)
O (0.233, 0.543, 0.502)
O (0.233, 0.957, 0.002)
O (0.284, 0.577, 0.045)
O (0.284, 0.923, 0.545)
O (0.340, 0.092, 0.870)
O (0.340, 0.408, 0.370)
O (0.429, 0.096, 0.128)
O (0.429, 0.404, 0.628)
O (0.455, 0.684, 0.875)
O (0.455, 0.816, 0.375)
O (0.545, 0.184, 0.625)
O (0.545, 0.316, 0.125)
O (0.571, 0.596, 0.372)
O (0.571, 0.904, 0.872)
O (0.660, 0.592, 0.630)
O (0.660, 0.908, 0.130)
O (0.716, 0.077, 0.455)
O (0.716, 0.423, 0.955)
O (0.767, 0.043, 0.998)
O (0.767, 0.457, 0.498)
O (0.861, 0.074, 0.731)
O (0.861, 0.426, 0.231)
O (0.901, 0.234, 0.592)
O (0.901, 0.266, 0.092)

=====

The following is a theoretical X-ray powder pattern of Li3MnV3O8. It was derived from DFT lattice parameters and positions (GGA+U), using Cu Ka.

Most intense lines, 2θ = 5–70°, in order of rising 2θ:
Position (°2θ)	I/Imax
18.23	100.0
35.03	12.8
35.43	17.8
35.54	6.5
36.90	8.5
42.44	24.9
43.16	47.4
62.05	13.2
62.21	12.6
62.85	6.3

Lattice parameters (Å, degrees): 5.970 5.970 5.915 119.54 119.54 59.71
Fractional positions:
Li (0.000, 0.000, 0.000)
Li (0.000, 0.500, 0.000)
Li (0.500, 0.000, 0.000)
Mn (0.500, 0.500, 0.000)
V (0.000, 0.500, 0.500)
V (0.500, 0.000, 0.500)
V (0.500, 0.500, 0.500)
O (0.254, 0.254, 0.270)
O (0.270, 0.718, 0.755)
O (0.272, 0.272, 0.759)
O (0.282, 0.730, 0.245)
O (0.718, 0.270, 0.755)
O (0.728, 0.728, 0.241)
O (0.730, 0.282, 0.245)
O (0.746, 0.746, 0.730)

=====

The following is a theoretical X-ray powder pattern of Ni3P4O16. It was derived from DFT lattice parameters and positions (GGA+U), using Cu Ka.

Most intense lines, 2θ = 5–70°, in order of rising 2θ:
Position (°2θ)	I/Imax
9.40	100.0
14.68	33.4
16.83	30.6
16.95	31.8
18.92	13.5
19.37	13.2
29.08	12.6
32.76	42.5
33.53	12.0
33.67	14.6

Lattice parameters (Å, degrees): 9.941 9.941 10.650 91.42 91.42 37.38
Fractional positions:
Ni (0.000, 0.500, 0.000)
Ni (0.134, 0.173, 0.252)
Ni (0.173, 0.134, 0.752)
Ni (0.500, 0.000, 0.500)
Ni (0.827, 0.866, 0.248)
Ni (0.866, 0.827, 0.748)
P (0.085, 0.747, 0.006)
P (0.253, 0.915, 0.494)
P (0.281, 0.316, 0.254)
P (0.316, 0.281, 0.754)
P (0.684, 0.719, 0.246)
P (0.719, 0.684, 0.746)
P (0.747, 0.085, 0.506)
P (0.915, 0.253, 0.994)
O (0.025, 0.134, 0.121)
O (0.086, 0.089, 0.887)
O (0.089, 0.086, 0.387)
O (0.134, 0.025, 0.621)
O (0.141, 0.553, 0.281)
O (0.169, 0.534, 0.007)
O (0.180, 0.514, 0.725)
O (0.192, 0.289, 0.144)
O (0.226, 0.262, 0.862)
O (0.262, 0.226, 0.362)
O (0.276, 0.695, 0.036)
O (0.289, 0.192, 0.644)
O (0.305, 0.724, 0.464)
O (0.447, 0.859, 0.219)
O (0.466, 0.831, 0.493)
O (0.486, 0.820, 0.775)
O (0.514, 0.180, 0.225)
O (0.534, 0.169, 0.507)
O (0.553, 0.141, 0.781)
O (0.695, 0.276, 0.536)
O (0.711, 0.808, 0.356)
O (0.724, 0.305, 0.964)
O (0.738, 0.774, 0.638)
O (0.774, 0.738, 0.138)
O (0.808, 0.711, 0.856)
O (0.820, 0.486, 0.275)
O (0.831, 0.466, 0.993)
O (0.859, 0.447, 0.719)
O (0.866, 0.975, 0.379)
O (0.911, 0.914, 0.613)
O (0.914, 0.911, 0.113)
O (0.975, 0.866, 0.879)

=====

The following is a theoretical X-ray powder pattern of FeOF. It was derived from DFT lattice parameters and positions (GGA+U), using Cu Ka.

Most intense lines, 2θ = 5–70°, in order of rising 2θ:
Position (°2θ)	I/Imax
26.18	92.8
26.33	90.5
34.20	100.0
39.10	17.7
39.20	17.2
51.54	53.8
51.71	52.2
59.03	18.2
65.39	19.6
65.65	27.5

Lattice parameters (Å, degrees): 14.373 3.129 14.433 90.00 90.32 90.00
Fractional positions:
Fe (0.000, 0.000, 0.000)
Fe (0.001, 0.000, 0.663)
Fe (0.132, 0.500, 0.173)
Fe (0.136, 0.500, 0.494)
Fe (0.139, 0.500, 0.831)
Fe (0.323, 0.000, 0.005)
Fe (0.331, 0.000, 0.661)
Fe (0.332, 0.000, 0.331)
Fe (0.470, 0.500, 0.166)
Fe (0.474, 0.500, 0.497)
Fe (0.483, 0.500, 0.816)
Fe (0.653, 0.000, 0.678)
Fe (0.663, 0.000, 0.995)
Fe (0.669, 0.000, 0.332)
Fe (0.808, 0.500, 0.830)
Fe (0.822, 0.500, 0.484)
Fe (0.826, 0.500, 0.187)
Fe (0.986, 0.000, 0.336)
O (0.048, 0.500, 0.274)
O (0.051, 0.500, 0.601)
O (0.053, 0.500, 0.938)
O (0.084, 0.000, 0.107)
O (0.088, 0.000, 0.434)
O (0.089, 0.000, 0.769)
O (0.384, 0.500, 0.268)
O (0.385, 0.500, 0.602)
O (0.419, 0.000, 0.769)
O (0.421, 0.000, 0.436)
O (0.423, 0.000, 0.100)
O (0.589, 0.500, 0.730)
O (0.717, 0.500, 0.267)
O (0.718, 0.500, 0.937)
O (0.756, 0.000, 0.435)
O (0.758, 0.000, 0.767)
O (0.887, 0.000, 0.233)
O (0.923, 0.500, 0.399)
F (0.216, 0.000, 0.235)
F (0.218, 0.000, 0.564)
F (0.222, 0.000, 0.900)
F (0.251, 0.500, 0.067)
F (0.254, 0.500, 0.731)
F (0.255, 0.500, 0.397)
F (0.385, 0.500, 0.932)
F (0.549, 0.000, 0.901)
F (0.550, 0.000, 0.231)
F (0.554, 0.000, 0.562)
F (0.587, 0.500, 0.398)
F (0.592, 0.500, 0.066)
F (0.718, 0.500, 0.601)
F (0.756, 0.000, 0.102)
F (0.884, 0.000, 0.568)
F (0.885, 0.000, 0.899)
F (0.919, 0.500, 0.062)
F (0.922, 0.500, 0.734)

=====

The following is a theoretical X-ray powder pattern of V3CrO8. It was derived from DFT lattice parameters and positions (GGA+U), using Cu Ka.

Most intense lines, 2θ = 5–70°, in order of rising 2θ:
Position (°2θ)	I/Imax
17.95	53.3
18.33	100.0
18.67	41.4
35.25	10.9
35.44	15.4
35.83	9.2
36.03	10.4
43.02	63.1
43.42	30.6
62.77	15.6

Lattice parameters (Å, degrees): 5.834 5.865 5.931 61.30 61.72 60.76
Fractional positions:
V (0.000, 0.000, 0.000)
V (0.001, 0.500, 0.999)
V (0.500, 0.499, 0.000)
Cr (0.000, 0.500, 0.500)
O (0.201, 0.271, 0.780)
O (0.229, 0.727, 0.795)
O (0.232, 0.743, 0.222)
O (0.239, 0.300, 0.220)
O (0.761, 0.700, 0.780)
O (0.768, 0.257, 0.778)
O (0.771, 0.272, 0.205)
O (0.799, 0.729, 0.219)

=====

The following is a theoretical X-ray powder pattern of Sr2CrFeAsO3. It was derived from DFT lattice parameters and positions (GGA+U), using Cu Ka.

Most intense lines, 2θ = 5–70°, in order of rising 2θ:
Position (°2θ)	I/Imax
5.43	15.5
31.30	100.0
31.54	45.0
35.71	21.3
38.69	27.8
40.11	28.2
45.21	51.4
56.01	37.3
62.01	14.7
65.85	15.5

Lattice parameters (Å, degrees): 4.012 4.012 16.286 90.00 90.00 90.00
Fractional positions:
Sr (0.250, 0.250, 0.085)
Sr (0.250, 0.250, 0.302)
Sr (0.750, 0.750, 0.698)
Sr (0.750, 0.750, 0.915)
Cr (0.250, 0.250, 0.812)
Cr (0.750, 0.750, 0.188)
Fe (0.250, 0.750, 0.500)
Fe (0.750, 0.250, 0.500)
As (0.250, 0.250, 0.600)
As (0.750, 0.750, 0.400)
O (0.250, 0.250, 0.931)
O (0.250, 0.750, 0.205)
O (0.250, 0.750, 0.795)
O (0.750, 0.250, 0.205)
O (0.750, 0.250, 0.795)
O (0.750, 0.750, 0.069)